Starting from the PBE geometry in the Materials Project, the powder XRD pattern of KSO4 was calculated for Cu Ka.

Main lines, by angle (5 to 70 degrees two-theta):
d_spacing  2θ (°)  I_rel
4.993  17.76  46
3.740  23.79  63
3.554  25.06  80
3.397  26.24  80
3.347  26.63  100
3.276  27.23  58

Atomic structure:
```
12
Lattice="5.162 0.000 0.000 -0.187 5.854 0.000 -1.728 -1.866 6.551" Properties=species:S:1:pos:R:3 pbc="T T T"
K 0.035 1.384 1.445
K 3.212 2.604 5.106
S 0.770 -0.147 4.904
S 2.476 4.135 1.647
O -0.203 -0.991 5.581
O 0.228 0.999 4.180
O 1.275 3.824 0.884
O 1.034 4.583 3.741
O 2.212 -0.595 2.811
O 1.972 0.164 5.667
O 3.018 2.989 2.371
O 3.449 4.979 0.970
```


Starting from the PBE geometry in the Materials Project, the powder XRD pattern of Sr2Bi2O5 was calculated for Cu Ka.

Main lines, by angle (5 to 70 degrees two-theta):
d_spacing  2θ (°)  I_rel
3.791  23.47  48
3.245  27.48  71
3.205  27.83  100
3.140  28.42  41
2.764  32.40  43
1.672  54.91  31

Atomic structure:
```
9
Lattice="6.280 0.000 0.000 0.000 1.960 7.454 0.000 -1.960 7.454" Properties=species:S:1:pos:R:3 pbc="T T T"
Sr 0.000 0.000 0.000
Sr 3.140 0.000 5.621
Bi 0.000 0.000 11.186
Bi 3.140 0.000 9.162
O 0.000 0.000 2.698
O 1.541 0.000 12.610
O 1.647 0.000 7.716
O 4.634 0.000 7.716
O 4.739 0.000 12.610
```